This entry pairs a crystal structure of Re2TcRu5 with its theoretical powder XRD pattern. Radiation: CuKα. Structure: a crystal structure in Alexandria, relaxed with PBE.

Crystal structure
a = 7.6717 Å, b = 7.6932 Å, c = 7.7272 Å
α = 90.00°, β = 90.00°, γ = 90.00°
Space group Fmmm (No. 69)
One atom of each set of equivalent atoms:
1 Re 0.2500 0.0000 0.2500
2 Tc 0.0000 0.0000 0.0000
3 Ru 0.0000 0.0000 0.5000
4 Ru 0.0000 0.2500 0.2500
5 Ru 0.2500 0.2500 0.0000

Principal peaks in the range 10° ≤ 2θ ≤ 90°, sorted by position:
- 2θ 23.16, intensity 5, hkl 2 0 0
- 2θ 40.60, intensity 100, hkl 2 2 2
- 2θ 47.04, intensity 16, hkl 0 0 4
- 2θ 47.26, intensity 16, hkl 0 4 0
- 2θ 47.40, intensity 16, hkl 4 0 0
- 2θ 68.89, intensity 10, hkl 0 4 4
- 2θ 69.00, intensity 10, hkl 4 0 4
- 2θ 69.17, intensity 10, hkl 4 4 0
- 2θ 82.98, intensity 12, hkl 2 2 6
- 2θ 83.30, intensity 12, hkl 2 6 2
- 2θ 83.51, intensity 12, hkl 6 2 2
- 2θ 87.88, intensity 11, hkl 4 4 4